Sn2ClF3: theoretical PXRD pattern (Cu Ka), based on a crystal structure in Alexandria, relaxed with GGA-PBE.
Neutral-atom scattering factors, no anomalous dispersion.

Principal peaks in the range 2θ = 5–70°, sorted by position:
| two_theta | I/Imax |
| --- | --- |
| 24.98 | 100 |
| 27.41 | 37 |
| 31.75 | 17 |
| 33.73 | 20 |
| 37.42 | 36 |
| 42.43 | 47 |
| 47.00 | 17 |
| 52.61 | 17 |
| 59.09 | 25 |
| 62.77 | 18 |

Cell and atoms:
```
Sn2ClF3
1.0
7.9715 0.0000 0.0000
0.0000 7.9715 0.0000
0.0000 0.0000 7.9715
Sn Cl F
8 4 12
Cartesian
0.5435 3.4422 4.5293
0.8304 7.1410 3.1553
3.1553 0.8304 7.1410
3.4422 4.5293 0.5435
4.5293 0.5435 3.4422
4.8161 4.8161 4.8161
7.1410 3.1553 0.8304
7.4279 7.4279 7.4279
1.8972 5.8829 6.0742
2.0885 2.0885 2.0885
5.8829 6.0742 1.8972
6.0742 1.8972 5.8829
0.9565 6.9457 1.0080
1.0080 0.9565 6.9457
1.0257 4.9937 3.0292
2.9600 2.9778 7.0149
2.9778 7.0149 2.9600
3.0292 1.0257 4.9937
4.9423 5.0115 6.9635
4.9937 3.0292 1.0257
5.0115 6.9635 4.9423
6.9457 1.0080 0.9565
6.9635 4.9423 5.0115
7.0149 2.9600 2.9778
```